Simulated PXRD pattern
Compound: BaTi18Mn3O38
Radiation: λ = 1.5418 Å (Cu Kα)
Structure: DFT lattice parameters and positions (GGA+U)
Kinematic intensities with the Lorentz-polarization factor, no thermal factor.

a b c (Å): 10.5076 10.5076 21.1436
angles (deg): 90.00 90.00 120.00
Space group R-3 (No. 148, hexagonal axes)
One atom of each set of equivalent atoms:
1 Ba 0.0000 0.0000 0.0000 (multiplicity 3)
2 Ti 0.0119 0.4234 0.2739 (multiplicity 18)
3 Ti 0.0226 0.4249 0.0648 (multiplicity 18)
4 Ti 0.0405 0.8563 0.8357 (multiplicity 18)
5 Mn 0.0000 0.0000 0.3103 (multiplicity 6)
6 Mn 0.0000 0.0000 0.5000 (multiplicity 3)
7 O 0.0000 0.0000 0.2117 (multiplicity 6)
8 O 0.0309 0.4307 0.6748 (multiplicity 18)
9 O 0.0325 0.4371 0.8931 (multiplicity 18)
10 O 0.0354 0.4401 0.4511 (multiplicity 18)
11 O 0.0435 0.8716 0.1107 (multiplicity 18)
12 O 0.0549 0.8486 0.3383 (multiplicity 18)
13 O 0.0602 0.8692 0.5635 (multiplicity 18)

The 8 most intense peaks (10 to 80 degrees two-theta), low angle first:
two_theta  d_spacing  I/Imax  index
25.8  3.448  77  0 2 4
30.5  2.927  100  1 1 6
31.0  2.883  58  2 1 4
32.1  2.786  51  3 0 3
39.6  2.278  47  1 3 4
41.7  2.167  60  4 -1 5
56.8  1.621  64  1 3 10
63.9  1.457  69  5 2 0